Entry 1:
# KPm4NdS8
Simulated powder X-ray diffraction pattern, Cu Ka. Input: the PBE geometry in Alexandria.
Lines closer than 0.1° are merged.

Main lines, sorted by position (2θ from 5° to 70°):
12.85°, I 34
21.05°, I 17
24.74°, I 100
25.88°, I 14
29.94°, I 37
39.16°, I 13
39.24°, I 37
42.79°, I 33
42.93°, I 33
50.16°, I 11

Cell and atoms:
```
KPm4NdS8
1.0
4.2138 2.4328 6.9124
-4.2138 2.4328 6.9124
0.0000 -4.8656 6.9124
K Pm Nd S
1 4 1 8
direct
0.0000 0.0000 0.0000 K
0.3701 0.3701 0.8862 Pm
0.3701 0.8862 0.3701 Pm
0.7490 0.7490 0.7490 Pm
0.8862 0.3701 0.3701 Pm
0.3700 0.3700 0.3700 Nd
0.1389 0.1389 0.5764 S
0.1389 0.5764 0.1389 S
0.1405 0.1405 0.1405 S
0.1460 0.6174 0.6174 S
0.5764 0.1389 0.1389 S
0.6174 0.1460 0.6174 S
0.6174 0.6174 0.1460 S
0.6167 0.6167 0.6167 S
```

=====

Entry 2:
# CeEr7
Simulated powder X-ray diffraction pattern, Cu Ka. Input: the PBE geometry in Alexandria.
Lines closer than 0.1° are merged.

Main lines, sorted by position (2θ from 5° to 70°):
31.27°, I 100
36.26°, I 51
52.22°, I 36
62.14°, I 43
65.23°, I 12

Cell and atoms:
```
CeEr7
1.0
0.0000 4.9545 4.9545
4.9545 0.0000 4.9545
4.9545 4.9545 0.0000
Ce Er
1 7
direct
0.0000 0.0000 0.0000 Ce
0.0000 0.0000 0.5000 Er
0.0000 0.5000 0.0000 Er
0.0000 0.5000 0.5000 Er
0.5000 0.0000 0.0000 Er
0.5000 0.0000 0.5000 Er
0.5000 0.5000 0.0000 Er
0.5000 0.5000 0.5000 Er
```